For CaMoF6, a cell relaxed with GGA+U gives the computed powder diffractogram in this record (copper Kα).

Structure:
```
CaMoF6
1.0
2.8455 1.6428 5.0327
-2.8455 1.6428 5.0327
0.0000 -3.2857 5.0327
Ca Mo F
1 1 6
Cartesian
0.0000 0.0000 0.0000
0.0000 0.0000 7.5491
-1.5872 0.2760 6.3544
-1.0326 -1.2366 8.7438
0.5546 -1.5126 6.3544
-0.5546 1.5126 8.7438
1.0326 1.2366 6.3544
1.5872 -0.2760 8.7438
```

Top 10 peaks for 10 to 90 degrees two-theta, by angle:
Position (°2θ)	I (rel.)
18.9	22
21.5	100
29.8	21
31.4	11
36.3	17
43.9	20
48.3	26
50.5	14
55.0	9
56.0	9